Starting from a PBE-relaxed structure, the X-ray powder pattern of SrCuBi2S4 was computed for Cu Kα (weighted mean of Kα1 and Kα2).
Neutral-atom scattering factors, no anomalous dispersion.

The 8 most intense peaks (10° ≤ 2θ ≤ 90°), in order of rising 2θ:
Position (°2θ)	intensity
23.7	71
25.3	76
27.7	45
32.1	100
35.2	41
39.2	44
41.9	35
55.9	38

a = 6.7886 Å, b = 6.7886 Å, c = 13.8999 Å
α = 90.00°, β = 90.00°, γ = 142.99°
Fractional coordinates of all 16 atoms:
Sr 0.1218 0.8782 0.7500
Sr 0.8782 0.1218 0.2500
Cu 0.1413 0.8587 0.2500
Cu 0.8587 0.1413 0.7500
Bi 0.3726 0.6274 0.5536
Bi 0.3726 0.6274 0.9464
Bi 0.6274 0.3726 0.0536
Bi 0.6274 0.3726 0.4464
S 0.0000 0.0000 0.0000
S 0.0000 0.0000 0.5000
S 0.2685 0.7315 0.1229
S 0.2685 0.7315 0.3771
S 0.4468 0.5532 0.7500
S 0.5532 0.4468 0.2500
S 0.7315 0.2685 0.6229
S 0.7315 0.2685 0.8771